Starting from DFT lattice parameters and positions (GGA-PBE), the powder diffraction line list of Ac3B7Os was calculated for Cu Kα, 1.54184 Å.
Intensities are scaled so that the largest is 100.

Cell and atoms:
```
data_Ac3B7Os
_chemical_formula_sum 'Ac6 B14 Os2'
_symmetry_space_group_name_H-M 'P 1'
_symmetry_Int_Tables_number 1
_cell_length_a 8.664
_cell_length_b 8.664
_cell_length_c 10.468
_cell_angle_alpha 90.00
_cell_angle_beta 90.00
_cell_angle_gamma 155.55
loop_
_symmetry_equiv_pos_as_xyz
'x,y,z'
loop_
_atom_site_label
_atom_site_type_symbol
_atom_site_fract_x
_atom_site_fract_y
_atom_site_fract_z
Ac1 Ac 0.097 0.903 0.555
Ac2 Ac 0.097 0.903 0.945
Ac3 Ac 0.259 0.741 0.250
Ac4 Ac 0.741 0.259 0.750
Ac5 Ac 0.903 0.097 0.055
Ac6 Ac 0.903 0.097 0.445
B1 B 0.272 0.728 0.533
B2 B 0.272 0.728 0.967
B3 B 0.357 0.643 0.656
B4 B 0.357 0.643 0.844
B5 B 0.459 0.541 0.629
B6 B 0.459 0.541 0.871
B7 B 0.476 0.524 0.250
B8 B 0.524 0.476 0.750
B9 B 0.541 0.459 0.129
B10 B 0.541 0.459 0.371
B11 B 0.643 0.357 0.156
B12 B 0.643 0.357 0.344
B13 B 0.728 0.272 0.033
B14 B 0.728 0.272 0.467
Os1 Os 0.071 0.929 0.250
Os2 Os 0.929 0.071 0.750
```

Main lines, in order of rising 2θ (2θ = 5–70°):
2θ/deg, intensity
24.8, 100
27.1, 64
27.6, 73
31.7, 67
33.3, 46
35.9, 100
36.1, 68
37.1, 39
52.3, 34
57.8, 38

Starting from DFT lattice parameters and positions (GGA-PBE), the powder diffraction line list of Ac2ReB6Os was calculated for Cu Kα, 1.54184 Å.
Intensities are scaled so that the largest is 100.

Cell and atoms:
```
data_Ac2ReB6Os
_chemical_formula_sum 'Ac2 Re1 B6 Os1'
_symmetry_space_group_name_H-M 'P 1'
_symmetry_Int_Tables_number 1
_cell_length_a 5.986
_cell_length_b 5.986
_cell_length_c 5.986
_cell_angle_alpha 120.09
_cell_angle_beta 119.81
_cell_angle_gamma 90.09
loop_
_symmetry_equiv_pos_as_xyz
'x,y,z'
loop_
_atom_site_label
_atom_site_type_symbol
_atom_site_fract_x
_atom_site_fract_y
_atom_site_fract_z
Ac1 Ac 0.250 0.250 0.000
Ac2 Ac 0.750 0.750 0.000
Re1 Re 0.500 0.000 0.500
B1 B 0.249 0.251 0.500
B2 B 0.249 0.749 0.500
B3 B 0.249 0.749 0.998
B4 B 0.751 0.251 0.002
B5 B 0.751 0.251 0.500
B6 B 0.751 0.749 0.500
Os1 Os 0.000 0.500 0.500
```

Main lines, in order of rising 2θ (2θ = 5–70°):
2θ/deg, intensity
21.0, 1
29.8, 100
29.9, 20
36.7, 1
36.8, 1
42.7, 27
52.9, 25
53.0, 25
61.8, 3
62.0, 15

Starting from DFT lattice parameters and positions (GGA-PBE), the powder diffraction line list of AcBPPd6 was calculated for Cu Kα, 1.54184 Å.
Intensities are scaled so that the largest is 100.

Cell and atoms:
```
data_AcBPPd6
_chemical_formula_sum 'Ac2 B2 P2 Pd12'
_symmetry_space_group_name_H-M 'P 1'
_symmetry_Int_Tables_number 1
_cell_length_a 7.851
_cell_length_b 7.851
_cell_length_c 7.851
_cell_angle_alpha 121.12
_cell_angle_beta 118.97
_cell_angle_gamma 89.93
loop_
_symmetry_equiv_pos_as_xyz
'x,y,z'
loop_
_atom_site_label
_atom_site_type_symbol
_atom_site_fract_x
_atom_site_fract_y
_atom_site_fract_z
Ac1 Ac 0.403 0.153 0.250
Ac2 Ac 0.597 0.847 0.750
B1 B 0.000 0.500 0.500
B2 B 0.500 0.500 0.000
P1 P 0.000 0.000 0.500
P2 P 0.000 0.500 0.000
Pd1 Pd 0.093 0.423 0.268
Pd2 Pd 0.093 0.825 0.670
Pd3 Pd 0.110 0.860 0.250
Pd4 Pd 0.311 0.561 0.750
Pd5 Pd 0.345 0.175 0.768
Pd6 Pd 0.345 0.577 0.170
Pd7 Pd 0.655 0.423 0.830
Pd8 Pd 0.655 0.825 0.232
Pd9 Pd 0.689 0.439 0.250
Pd10 Pd 0.890 0.140 0.750
Pd11 Pd 0.907 0.175 0.330
Pd12 Pd 0.907 0.577 0.732
```

Main lines, in order of rising 2θ (2θ = 5–70°):
2θ/deg, intensity
26.4, 16
26.7, 16
26.9, 20
32.3, 100
35.1, 40
35.8, 11
42.8, 22
45.5, 16
46.3, 39
64.3, 19

Starting from DFT lattice parameters and positions (GGA-PBE), the powder diffraction line list of AcB12Pb was calculated for Cu Kα, 1.54184 Å.
Intensities are scaled so that the largest is 100.

Cell and atoms:
```
data_AcB12Pb
_chemical_formula_sum 'Ac1 B12 Pb1'
_symmetry_space_group_name_H-M 'P 1'
_symmetry_Int_Tables_number 1
_cell_length_a 5.960
_cell_length_b 5.960
_cell_length_c 5.960
_cell_angle_alpha 60.00
_cell_angle_beta 60.00
_cell_angle_gamma 60.00
loop_
_symmetry_equiv_pos_as_xyz
'x,y,z'
loop_
_atom_site_label
_atom_site_type_symbol
_atom_site_fract_x
_atom_site_fract_y
_atom_site_fract_z
Ac1 Ac 0.000 0.000 0.000
B1 B 0.101 0.101 0.399
B2 B 0.101 0.399 0.101
B3 B 0.101 0.399 0.399
B4 B 0.399 0.101 0.101
B5 B 0.399 0.101 0.399
B6 B 0.399 0.399 0.101
B7 B 0.601 0.601 0.899
B8 B 0.601 0.899 0.601
B9 B 0.601 0.899 0.899
B10 B 0.899 0.601 0.601
B11 B 0.899 0.601 0.899
B12 B 0.899 0.899 0.601
Pb1 Pb 0.500 0.500 0.500
```

Main lines, in order of rising 2θ (2θ = 5–70°):
2θ/deg, intensity
21.1, 77
30.0, 100
36.9, 41
42.9, 21
48.3, 53
53.2, 32
62.3, 11
66.6, 29